Diffraction record for TaCdInSiP. The X-ray diffraction stick pattern is computed, not measured: it uses a crystal structure in Alexandria, relaxed with GGA-PBE and Cu Kα (weighted mean of Kα1 and Kα2).
Peak positions follow from Bragg's law for the DFT cell and can differ from measured ones.

Peak list (8 most intense, 2θ from 15° to 90°, in order of rising 2θ)
2theta	I (rel.)
20.80	69.5
22.61	55.6
29.86	52.6
31.71	91.8
33.95	81.9
37.70	77.4
39.52	94.0
42.51	100.0

```
TaCdInSiP
1.0
4.308 -1.598 0.000
4.308 1.598 0.000
-0.978 0.000 7.443
Ta Cd In Si P
1 1 1 1 1
direct
0.000 0.000 0.000 Ta
0.102 0.102 0.409 Cd
0.409 0.409 0.649 In
0.310 0.310 0.156 Si
0.706 0.706 0.929 P
```

=====

Diffraction record for TaCdInSiP. The X-ray diffraction stick pattern is computed, not measured: it uses a crystal structure in Alexandria, relaxed with GGA-PBE and Cu Kα (weighted mean of Kα1 and Kα2).
Peak positions follow from Bragg's law for the DFT cell and can differ from measured ones.

Peak list (8 most intense, 2θ from 15° to 90°, in order of rising 2θ)
2theta	I (rel.)
16.79	93.1
26.43	55.1
32.12	77.5
33.89	52.4
35.91	100.0
38.23	72.2
40.41	45.5
41.51	45.9

```
TaCdInSiP
1.0
3.560 0.000 0.000
0.001 5.345 0.000
1.773 0.760 5.263
Ta Cd In Si P
1 1 1 1 1
direct
0.000 0.000 0.000 Ta
0.138 0.532 0.722 Cd
0.727 0.048 0.545 In
0.429 0.294 0.142 Si
0.397 0.708 0.208 P
```

=====

Diffraction record for CdIn16Pb12. The X-ray diffraction stick pattern is computed, not measured: it uses a crystal structure in Alexandria, relaxed with GGA-PBE and Cu Kα (weighted mean of Kα1 and Kα2).
Peak positions follow from Bragg's law for the DFT cell and can differ from measured ones.

Peak list (8 most intense, 2θ from 15° to 90°, in order of rising 2θ)
2theta	I (rel.)
18.06	20.9
29.74	32.1
31.55	100.0
31.64	72.1
34.98	69.4
35.16	23.0
38.12	33.9
38.22	22.5

```
CdIn16Pb12
1.0
6.003 -8.523 0.000
6.003 8.523 0.000
-5.963 0.000 8.479
Cd In Pb
1 16 12
direct
0.000 0.000 0.000 Cd
0.036 0.709 0.147 In
0.296 0.878 0.034 In
0.298 0.298 0.077 In
0.298 0.645 0.731 In
0.310 0.310 0.740 In
0.315 0.616 0.327 In
0.571 0.998 0.417 In
0.607 0.890 0.742 In
0.616 0.315 0.327 In
0.645 0.298 0.731 In
0.703 0.703 0.455 In
0.709 0.036 0.147 In
0.878 0.296 0.034 In
0.890 0.607 0.742 In
0.948 0.948 0.377 In
0.998 0.571 0.417 In
0.091 0.899 0.719 Pb
0.102 0.296 0.332 Pb
0.118 0.486 0.929 Pb
0.296 0.102 0.332 Pb
0.300 0.917 0.533 Pb
0.486 0.118 0.929 Pb
0.497 0.497 0.562 Pb
0.500 0.696 0.124 Pb
0.696 0.500 0.124 Pb
0.716 0.716 0.945 Pb
0.899 0.091 0.719 Pb
0.917 0.300 0.533 Pb
```